1.
Diffraction record for LaHg2Cl. The powder diffractogram is computed, not measured: it uses DFT lattice parameters and positions (PBE) and copper Kα.
Intensities are scaled so that the largest is 100.

Atomic structure:
abc: 7.2561 7.2561 4.6775
angles: 108.74 108.74 28.86
Atoms (fractional coordinates):
La (0.0000, 0.0000, 0.0000)
Hg (0.2864, 0.2864, 0.7861)
Hg (0.7136, 0.7136, 0.2139)
Cl (0.5000, 0.5000, 0.5000)

The 10 most intense peaks (10° ≤ 2θ ≤ 80°), sorted by position:
2θ (°)	I/Imax
13.36	25
20.13	23
26.90	29
31.98	26
34.13	100
38.49	21
39.05	27
50.88	15
66.86	16
68.86	14



2.
Diffraction record for LiHg2Cl4. The powder diffractogram is computed, not measured: it uses DFT lattice parameters and positions (PBE) and copper Kα.
Intensities are scaled so that the largest is 100.

Atomic structure:
abc: 6.6828 6.6828 4.5718
angles: 90.00 90.00 90.00
Atoms (fractional coordinates):
Li (0.0000, 0.0000, 0.0000)
Hg (0.0000, 0.5000, 0.5000)
Hg (0.5000, 0.0000, 0.5000)
Cl (0.2319, 0.2319, 0.2218)
Cl (0.2319, 0.7681, 0.7782)
Cl (0.7681, 0.2319, 0.7782)
Cl (0.7681, 0.7681, 0.2218)

The 10 most intense peaks (10° ≤ 2θ ≤ 80°), sorted by position:
2θ (°)	I/Imax
18.78	98
19.42	40
27.14	100
33.21	57
38.09	32
42.79	26
43.10	22
44.00	24
47.39	43
48.24	32



3.
Diffraction record for LiHgCl2. The powder diffractogram is computed, not measured: it uses DFT lattice parameters and positions (PBE) and copper Kα.
Intensities are scaled so that the largest is 100.

Atomic structure:
abc: 7.9276 7.9276 7.9276
angles: 151.72 151.72 40.43
Atoms (fractional coordinates):
Li (0.0000, 0.0000, 0.0000)
Hg (0.7500, 0.2500, 0.5000)
Cl (0.2500, 0.7500, 0.5000)
Cl (0.5000, 0.5000, 0.0000)

The 10 most intense peaks (10° ≤ 2θ ≤ 80°), sorted by position:
2θ (°)	I/Imax
11.90	100
23.74	62
23.92	45
29.25	38
32.69	20
34.91	67
38.14	20
40.92	22
49.59	24
53.29	35



4.
Diffraction record for LiHgCl3. The powder diffractogram is computed, not measured: it uses DFT lattice parameters and positions (PBE) and copper Kα.
Intensities are scaled so that the largest is 100.

Atomic structure:
abc: 9.9867 9.9867 6.5323
angles: 90.00 90.00 155.36
Atoms (fractional coordinates):
Li (0.1309, 0.8691, 0.5000)
Li (0.8691, 0.1309, 0.0000)
Hg (0.3452, 0.6548, 0.5324)
Hg (0.6548, 0.3452, 0.0324)
Cl (0.0950, 0.9050, 0.8463)
Cl (0.2402, 0.7598, 0.3205)
Cl (0.4114, 0.5886, 0.8549)
Cl (0.5886, 0.4114, 0.3549)
Cl (0.7598, 0.2402, 0.8205)
Cl (0.9050, 0.0950, 0.3463)

The 10 most intense peaks (10° ≤ 2θ ≤ 80°), sorted by position:
2θ (°)	I/Imax
16.33	100
18.18	35
21.34	20
22.75	28
24.98	38
25.37	59
34.04	45
37.34	34
39.09	26
47.07	23



5.
Diffraction record for LiHgCl3. The powder diffractogram is computed, not measured: it uses DFT lattice parameters and positions (PBE) and copper Kα.
Intensities are scaled so that the largest is 100.

Atomic structure:
abc: 4.2490 10.2962 10.2962
angles: 142.98 90.00 90.00
Atoms (fractional coordinates):
Li (0.2500, 0.1358, 0.8642)
Li (0.7500, 0.8642, 0.1358)
Hg (0.2500, 0.3740, 0.6788)
Hg (0.7500, 0.6788, 0.3740)
Cl (0.2500, 0.0554, 0.5688)
Cl (0.2500, 0.4332, 0.2472)
Cl (0.2500, 0.7652, 0.9474)
Cl (0.7500, 0.2472, 0.4332)
Cl (0.7500, 0.5688, 0.0554)
Cl (0.7500, 0.9474, 0.7652)

The 10 most intense peaks (10° ≤ 2θ ≤ 80°), sorted by position:
2θ (°)	I/Imax
14.29	64
18.17	50
19.24	100
22.82	62
25.41	74
28.56	24
34.06	60
35.86	46
39.06	32
47.10	40



6.
Diffraction record for NaLiHgCl4. The powder diffractogram is computed, not measured: it uses DFT lattice parameters and positions (PBE) and copper Kα.
Intensities are scaled so that the largest is 100.

Atomic structure:
abc: 7.8786 7.8786 7.8786
angles: 120.41 119.48 90.10
Atoms (fractional coordinates):
Na (0.5000, 0.0000, 0.0000)
Na (0.5000, 0.5000, 0.5000)
Li (0.0000, 0.0000, 0.0000)
Li (0.5000, 0.0000, 0.5000)
Hg (0.1214, 0.3714, 0.7500)
Hg (0.8786, 0.6286, 0.2500)
Cl (0.2374, 0.2311, 0.0062)
Cl (0.2495, 0.2289, 0.4794)
Cl (0.2495, 0.7700, 0.0206)
Cl (0.2751, 0.7689, 0.5062)
Cl (0.7249, 0.2311, 0.4938)
Cl (0.7505, 0.2300, 0.9794)
Cl (0.7505, 0.7711, 0.5206)
Cl (0.7626, 0.7689, 0.9938)

The 10 most intense peaks (10° ≤ 2θ ≤ 80°), sorted by position:
2θ (°)	I/Imax
13.70	51
13.83	47
22.39	31
22.57	100
26.41	35
26.54	38
26.62	46
39.77	39
42.20	32
46.09	48



7.
Diffraction record for Na2LiHgCl5. The powder diffractogram is computed, not measured: it uses DFT lattice parameters and positions (PBE) and copper Kα.
Intensities are scaled so that the largest is 100.

Atomic structure:
abc: 8.5492 8.5492 13.6946
angles: 90.00 90.00 152.94
Atoms (fractional coordinates):
Na (0.0656, 0.9344, 0.5000)
Na (0.0984, 0.9016, 0.2109)
Na (0.9016, 0.0984, 0.7109)
Na (0.9344, 0.0656, 0.0000)
Li (0.4125, 0.5875, 0.2716)
Li (0.5875, 0.4125, 0.7716)
Hg (0.2379, 0.7621, 0.8904)
Hg (0.7621, 0.2379, 0.3904)
Cl (0.0770, 0.9230, 0.8688)
Cl (0.2468, 0.7532, 0.5182)
Cl (0.2682, 0.7318, 0.2467)
Cl (0.3980, 0.6020, 0.8598)
Cl (0.4940, 0.5060, 0.1286)
Cl (0.5060, 0.4940, 0.6286)
Cl (0.6020, 0.3980, 0.3598)
Cl (0.7318, 0.2682, 0.7467)
Cl (0.7532, 0.2468, 0.0182)
Cl (0.9230, 0.0770, 0.3688)

The 10 most intense peaks (10° ≤ 2θ ≤ 80°), sorted by position:
2θ (°)	I/Imax
10.64	79
12.93	82
16.78	76
21.38	31
23.78	54
30.19	100
33.91	27
40.27	31
40.44	34
48.70	28



8.
Diffraction record for Li2NiHgCl6. The powder diffractogram is computed, not measured: it uses DFT lattice parameters and positions (PBE) and copper Kα.
Intensities are scaled so that the largest is 100.

Atomic structure:
abc: 6.9182 6.9182 6.9182
angles: 55.19 55.19 55.19
Atoms (fractional coordinates):
Li (0.0000, 0.0000, 0.0000)
Li (0.4844, 0.4844, 0.4844)
Ni (0.6792, 0.6792, 0.6792)
Hg (0.1915, 0.1915, 0.1915)
Cl (0.0642, 0.4249, 0.7659)
Cl (0.2883, 0.8804, 0.6116)
Cl (0.4249, 0.7659, 0.0642)
Cl (0.6116, 0.2883, 0.8804)
Cl (0.7659, 0.0642, 0.4249)
Cl (0.8804, 0.6116, 0.2883)

The 10 most intense peaks (10° ≤ 2θ ≤ 80°), sorted by position:
2θ (°)	I/Imax
16.75	23
18.92	100
25.90	43
31.85	43
33.88	21
38.39	20
41.83	47
44.41	30
48.08	20
49.25	24



9.
Diffraction record for MgHgCl2. The powder diffractogram is computed, not measured: it uses DFT lattice parameters and positions (PBE) and copper Kα.
Intensities are scaled so that the largest is 100.

Atomic structure:
abc: 3.6593 3.6593 10.4804
angles: 99.20 99.20 59.99
Atoms (fractional coordinates):
Mg (0.0000, 0.0000, 0.0000)
Hg (0.5000, 0.5000, 0.5000)
Cl (0.2926, 0.2926, 0.8662)
Cl (0.7074, 0.7074, 0.1338)

The 10 most intense peaks (10° ≤ 2θ ≤ 80°), sorted by position:
2θ (°)	I/Imax
17.22	100
25.95	45
28.31	72
28.81	32
30.40	77
30.68	39
31.50	30
31.85	56
40.61	39
49.85	36



10.
Diffraction record for MgHg3Cl8. The powder diffractogram is computed, not measured: it uses DFT lattice parameters and positions (PBE) and copper Kα.
Intensities are scaled so that the largest is 100.

Atomic structure:
abc: 7.9132 7.9132 7.6985
angles: 118.67 118.67 58.18
Atoms (fractional coordinates):
Mg (0.0000, 0.0000, 0.0000)
Hg (0.0000, 0.5000, 0.0000)
Hg (0.5000, 0.0000, 0.0000)
Hg (0.5000, 0.5000, 0.0000)
Cl (0.2228, 0.2228, 0.2195)
Cl (0.2335, 0.7553, 0.2236)
Cl (0.2447, 0.7665, 0.7764)
Cl (0.2560, 0.2560, 0.7711)
Cl (0.7440, 0.7440, 0.2289)
Cl (0.7553, 0.2335, 0.2236)
Cl (0.7665, 0.2447, 0.7764)
Cl (0.7772, 0.7772, 0.7805)

The 10 most intense peaks (10° ≤ 2θ ≤ 80°), sorted by position:
2θ (°)	I/Imax
13.77	100
25.95	16
27.05	38
30.95	24
32.91	42
34.88	15
43.03	13
45.65	16
45.96	16
47.24	16



11.
Diffraction record for Rb3Mg2HgCl9. The powder diffractogram is computed, not measured: it uses DFT lattice parameters and positions (PBE) and copper Kα.
Intensities are scaled so that the largest is 100.

Atomic structure:
abc: 7.2875 7.2875 8.9752
angles: 90.00 90.00 120.00
Atoms (fractional coordinates):
Rb (0.0000, 0.0000, 0.0000)
Rb (0.3333, 0.6667, 0.6645)
Rb (0.6667, 0.3333, 0.3355)
Mg (0.3333, 0.6667, 0.1565)
Mg (0.6667, 0.3333, 0.8435)
Hg (0.0000, 0.0000, 0.5000)
Cl (0.0000, 0.5000, 0.0000)
Cl (0.1723, 0.3446, 0.3245)
Cl (0.1723, 0.8277, 0.3245)
Cl (0.3446, 0.1723, 0.6755)
Cl (0.5000, 0.0000, 0.0000)
Cl (0.5000, 0.5000, 0.0000)
Cl (0.6554, 0.8277, 0.3245)
Cl (0.8277, 0.1723, 0.6755)
Cl (0.8277, 0.6554, 0.6755)

The 10 most intense peaks (10° ≤ 2θ ≤ 80°), sorted by position:
2θ (°)	I/Imax
14.03	26
17.18	24
24.38	100
26.40	15
30.02	25
34.75	84
42.96	34
49.87	28
50.07	26
62.39	14



12.
Diffraction record for RbMgHg2Cl8. The powder diffractogram is computed, not measured: it uses DFT lattice parameters and positions (PBE) and copper Kα.
Intensities are scaled so that the largest is 100.

Atomic structure:
abc: 6.5790 6.5790 9.4087
angles: 90.00 90.00 120.00
Atoms (fractional coordinates):
Rb (0.0000, 0.0000, 0.0000)
Mg (0.0000, 0.0000, 0.5000)
Hg (0.3333, 0.6667, 0.7207)
Hg (0.6667, 0.3333, 0.2793)
Cl (0.0346, 0.7144, 0.3383)
Cl (0.2856, 0.3202, 0.3383)
Cl (0.3202, 0.0346, 0.6617)
Cl (0.3333, 0.6667, 0.9923)
Cl (0.6667, 0.3333, 0.0077)
Cl (0.6798, 0.9654, 0.3383)
Cl (0.7144, 0.6798, 0.6617)
Cl (0.9654, 0.2856, 0.6617)

The 10 most intense peaks (10° ≤ 2θ ≤ 80°), sorted by position:
2θ (°)	I/Imax
18.20	100
24.54	34
27.11	43
28.46	17
32.59	20
32.85	36
36.89	18
43.09	27
47.52	24
47.90	22



13.
Diffraction record for Mg2TlHgCl8. The powder diffractogram is computed, not measured: it uses DFT lattice parameters and positions (PBE) and copper Kα.
Intensities are scaled so that the largest is 100.

Atomic structure:
abc: 6.1635 7.8427 6.4383
angles: 90.00 90.49 90.00
Atoms (fractional coordinates):
Mg (0.0000, 0.2427, 0.0000)
Mg (0.0000, 0.7573, 0.0000)
Tl (0.5000, 0.5000, 0.5000)
Hg (0.5000, 0.0000, 0.5000)
Cl (0.2017, 0.5000, 0.8483)
Cl (0.2159, 0.0000, 0.8466)
Cl (0.2507, 0.2364, 0.3207)
Cl (0.2507, 0.7636, 0.3207)
Cl (0.7493, 0.2364, 0.6793)
Cl (0.7493, 0.7636, 0.6793)
Cl (0.7841, 0.0000, 0.1534)
Cl (0.7983, 0.5000, 0.1517)

The 10 most intense peaks (10° ≤ 2θ ≤ 80°), sorted by position:
2θ (°)	I/Imax
13.75	86
14.37	70
19.86	91
20.03	77
26.95	61
30.43	100
31.24	45
39.66	52
39.84	35
48.35	37



14.
Diffraction record for Mn2HgCl2. The powder diffractogram is computed, not measured: it uses DFT lattice parameters and positions (PBE) and copper Kα.
Intensities are scaled so that the largest is 100.

Atomic structure:
abc: 8.4752 8.4752 3.1267
angles: 90.00 90.00 90.00
Atoms (fractional coordinates):
Mn (0.1131, 0.3869, 0.0000)
Mn (0.3869, 0.8869, 0.0000)
Mn (0.6131, 0.1131, 0.0000)
Mn (0.8869, 0.6131, 0.0000)
Hg (0.0000, 0.0000, 0.5000)
Hg (0.5000, 0.5000, 0.5000)
Cl (0.1353, 0.6353, 0.5000)
Cl (0.3647, 0.1353, 0.5000)
Cl (0.6353, 0.8647, 0.5000)
Cl (0.8647, 0.3647, 0.5000)

The 10 most intense peaks (10° ≤ 2θ ≤ 80°), sorted by position:
2θ (°)	I/Imax
14.78	38
20.96	83
29.82	34
32.29	74
33.43	100
35.69	32
37.28	28
44.53	42
56.81	28
69.62	27